# Li8TlAu6
Theoretical XRD peak list, Cu Ka. Input: the PBE geometry in Alexandria.

Atomic structure:
```
data_Li8TlAu6
_chemical_formula_sum 'Li24 Tl3 Au18'
_space_group_name_H-M_alt 'R -3'
_space_group_IT_number 148
_space_group_name_Hall '-R 3'
_cell_length_a 7.8748
_cell_length_b 7.8748
_cell_length_c 16.2374
_cell_angle_alpha 90.00
_cell_angle_beta 90.00
_cell_angle_gamma 120.00
loop_
_atom_site_label
_atom_site_fract_x
_atom_site_fract_y
_atom_site_fract_z
Li1 0.0000 0.0000 0.1647
Li2 0.0050 0.6806 0.6156
Tl1 0.0000 0.0000 0.5000
Au1 0.0029 0.6455 0.4448
```

Most intense lines, 2θ = 10–90°, in order of rising 2θ:
index	2θ/deg	I/Imax
0 0 3	16.4	505
1 1 3	28.0	1000
3 0 0	39.6	514
2 -1 6	40.4	564
3 0 3	43.2	252
4 -2 3	49.3	194
2 2 6	57.9	179
5 -1 6	72.5	176

=====

# Li7TlAu2
Theoretical XRD peak list, Cu Ka. Input: the PBE geometry in Alexandria.

Atomic structure:
```
data_Li7TlAu2
_chemical_formula_sum 'Li7 Tl1 Au2'
_space_group_name_H-M_alt 'P 3 m 1'
_space_group_IT_number 156
_cell_length_a 4.5346
_cell_length_b 4.5346
_cell_length_c 9.8360
_cell_angle_alpha 90.00
_cell_angle_beta 90.00
_cell_angle_gamma 120.00
loop_
_space_group_symop_operation_xyz
'x,y,z'
'-y,x-y,z'
'-x+y,-x,z'
'-y,-x,z'
'-x+y,y,z'
'x,x-y,z'
loop_
_atom_site_label
_atom_site_fract_x
_atom_site_fract_y
_atom_site_fract_z
Li1 0.0000 0.0000 0.0000
Li2 0.0000 0.0000 0.2400
Li3 0.0000 0.0000 0.7406
Li4 0.3333 0.6667 0.3957
Li5 0.3333 0.6667 0.7934
Li6 0.6667 0.3333 0.1977
Li7 0.6667 0.3333 0.5719
Tl1 0.6667 0.3333 0.8966
Au1 0.0000 0.0000 0.4905
Au2 0.3333 0.6667 0.1035
```

Most intense lines, 2θ = 10–90°, in order of rising 2θ:
index	2θ/deg	I/Imax
0 0 2	18.0	178
1 0 1	24.4	1000
0 1 2	29.1	486
1 0 3	35.7	295
1 1 0	39.8	350
0 1 4	43.4	245
0 2 1	47.2	177
1 1 5	62.5	150